CaH2O2: calculated powder diffractogram (Cu Ka), based on a crystal structure in the Materials Project, relaxed with GGA-PBE.
Kinematic intensities with the Lorentz-polarization factor, no thermal factor.

Cell and atoms:
Lattice parameters (Å, degrees): 3.8691 3.8691 4.6230 90.00 90.00 120.00
Atoms (fractional coordinates):
Ca 0.0000 0.0000 0.0000
H 0.3333 0.6667 0.0328
H 0.6667 0.3333 0.4441
O 0.3333 0.6667 0.8200
O 0.6667 0.3333 0.2329

Largest 10 diffraction maxima, in order of rising 2θ, 10° ≤ 2θ ≤ 80°:
hkl, two_theta, I_rel
0 0 1, 19.20, 83.2
1 0 0, 26.60, 21.6
1 0 1, 33.02, 100.0
1 1 0, 46.97, 43.0
1 0 2, 47.80, 43.9
1 1 1, 51.19, 28.9
0 2 1, 58.61, 15.0
0 1 3, 66.82, 13.4
0 2 2, 69.26, 12.2
2 1 1, 78.27, 11.3